No. 1
# Tb2PmHo2Th2
Simulated powder diffraction line list, Cu Kα, 1.54184 Å. Input: a DFT-relaxed cell (PBE, Alexandria).
Kinematic intensities with the Lorentz-polarization factor, no thermal factor.

Top 12 peaks for 10° ≤ 2θ ≤ 90°, low angle first:
2θ (°)  I_rel  h k l
26.16  27  1 1 0
29.98  100  1 1 1
30.70  93  2 0 -3
31.35  36  3 1 0
31.63  79  6 0 -2
31.80  77  4 0 1
33.17  55  3 1 -2
36.71  35  3 1 1
37.34  26  1 1 2
37.55  28  5 1 -2
61.85  26  2 2 -3
62.44  46  6 2 -2

Structure:
```
data_Tb2PmHo2Th2
_cell_length_a 17.1798
_cell_length_b 3.5003
_cell_length_c 8.8946
_cell_angle_alpha 90.00
_cell_angle_beta 120.61
_cell_angle_gamma 90.00
_space_group_name_H-M_alt 'C 1 2/m 1'
_space_group_IT_number 12
loop_
_space_group_symop_operation_xyz
'x,y,z'
'-x,-y,-z'
'-x,y,-z'
'x,-y,z'
'x+1/2,y+1/2,z'
'-x+1/2,-y+1/2,-z'
'-x+1/2,y+1/2,-z'
'x+1/2,-y+1/2,z'
loop_
_atom_site_label
_atom_site_type_symbol
_atom_site_fract_x
_atom_site_fract_y
_atom_site_fract_z
Tb1 Tb 0.1518 0.0000 0.4416
Pm1 Pm 0.0000 0.5000 0.0000
Ho1 Ho 0.0742 0.0000 0.7278
Th1 Th 0.2313 0.0000 0.1532
```

No. 2
# Tb2Pm6HoTh
Simulated powder diffraction line list, Cu Kα, 1.54184 Å. Input: a DFT-relaxed cell (PBE, Alexandria).
Kinematic intensities with the Lorentz-polarization factor, no thermal factor.

Top 12 peaks for 10° ≤ 2θ ≤ 90°, low angle first:
2θ (°)  I_rel  h k l
27.46  24  2 2 -2
28.37  55  1 3 2
29.92  58  3 1 -1
30.14  58  0 2 3
31.12  77  2 2 2
31.33  100  1 5 0
32.29  28  1 5 -1
32.82  16  3 1 -2
33.28  37  1 3 -3
33.72  19  2 2 -3
37.50  24  1 1 -4
59.78  17  2 4 5

Structure:
```
data_Tb2Pm6HoTh
_cell_length_a 9.2764
_cell_length_b 15.0164
_cell_length_c 9.7861
_cell_angle_alpha 90.00
_cell_angle_beta 98.39
_cell_angle_gamma 90.00
_space_group_name_H-M_alt 'C 1 2/c 1'
_space_group_IT_number 15
loop_
_space_group_symop_operation_xyz
'x,y,z'
'-x,-y,-z'
'-x,y,-z+1/2'
'x,-y,z+1/2'
'x+1/2,y+1/2,z'
'-x+1/2,-y+1/2,-z'
'-x+1/2,y+1/2,-z+1/2'
'x+1/2,-y+1/2,z+1/2'
loop_
_atom_site_label
_atom_site_type_symbol
_atom_site_fract_x
_atom_site_fract_y
_atom_site_fract_z
Tb1 Tb 0.2448 0.0458 0.0488
Pm1 Pm 0.0670 0.1783 0.4436
Pm2 Pm 0.0960 0.3936 0.6198
Pm3 Pm 0.2067 0.2188 0.8133
Ho1 Ho 0.0000 0.4074 0.2500
Th1 Th 0.0000 0.0258 0.7500
```

No. 3
# TbPmHo5Th2
Simulated powder diffraction line list, Cu Kα, 1.54184 Å. Input: a DFT-relaxed cell (PBE, Alexandria).
Kinematic intensities with the Lorentz-polarization factor, no thermal factor.

Top 12 peaks for 10° ≤ 2θ ≤ 90°, low angle first:
2θ (°)  I_rel  h k l
28.60  100  2 2 0
31.01  82  2 0 4
32.01  15  3 1 0
34.17  14  3 1 2
37.14  23  3 2 1
37.29  16  2 1 5
42.58  23  4 0 2
47.83  11  0 0 8
52.13  18  4 2 4
56.62  19  2 2 8
64.41  15  4 4 4
79.32  14  4 4 8

Structure:
```
data_TbPmHo5Th2
_cell_length_a 8.8420
_cell_length_b 8.8420
_cell_length_c 15.2125
_cell_angle_alpha 90.00
_cell_angle_beta 90.00
_cell_angle_gamma 90.00
_space_group_name_H-M_alt 'I 4/m c m'
_space_group_IT_number 140
_space_group_name_Hall '-I 4 2c'
loop_
_atom_site_label
_atom_site_type_symbol
_atom_site_fract_x
_atom_site_fract_y
_atom_site_fract_z
Tb1 Tb 0.0000 0.5000 0.2500
Pm1 Pm 0.0000 0.0000 0.2500
Ho1 Ho 0.0000 0.0000 0.0000
Ho2 Ho 0.2082 0.2918 0.1380
Th1 Th 0.1186 0.3814 0.5000
```

No. 4
# Tb4PmHo2Th
Simulated powder diffraction line list, Cu Kα, 1.54184 Å. Input: a DFT-relaxed cell (PBE, Alexandria).
Kinematic intensities with the Lorentz-polarization factor, no thermal factor.

Top 12 peaks for 10° ≤ 2θ ≤ 90°, low angle first:
2θ (°)  I_rel  h k l
30.70  100  1 1 2
35.60  51  2 0 0
51.23  36  2 2 0
60.83  14  1 3 2
60.96  29  3 1 2
63.93  12  2 2 4
75.23  2  0 4 0
75.45  4  4 0 0
83.51  12  3 3 2
83.62  6  3 1 6
86.11  6  2 4 0
86.30  11  4 2 0

Structure:
```
data_Tb4PmHo2Th
_cell_length_a 5.0409
_cell_length_b 5.0525
_cell_length_c 10.0780
_cell_angle_alpha 90.00
_cell_angle_beta 90.00
_cell_angle_gamma 90.00
_space_group_name_H-M_alt 'P m m m'
_space_group_IT_number 47
loop_
_space_group_symop_operation_xyz
'x,y,z'
'-x,-y,-z'
'-x,-y,z'
'x,y,-z'
'x,-y,-z'
'-x,y,z'
'-x,y,-z'
'x,-y,z'
loop_
_atom_site_label
_atom_site_type_symbol
_atom_site_fract_x
_atom_site_fract_y
_atom_site_fract_z
Tb1 Tb 0.0000 0.0000 0.2463
Tb2 Tb 0.5000 0.5000 0.2469
Pm1 Pm 0.5000 0.0000 0.5000
Ho1 Ho 0.0000 0.5000 0.5000
Ho2 Ho 0.5000 0.0000 0.0000
Th1 Th 0.0000 0.5000 0.0000
```